1.
Structure and calculated XRD peak list of LiHo3Ru2 (a structure optimized by DFT (PBE); λ = 1.5418 Å (Cu Kα)).

Most intense lines, 2θ from 10° to 90°, in order of rising 2θ:
two_theta, Rel. int.
15.6, 19
26.2, 22
35.4, 100
37.4, 58
41.4, 38
54.0, 20
66.2, 32
69.8, 16
70.2, 16
82.0, 11

Structural model:
```
LiHo3Ru2
1.0
3.398 0.000 0.000
0.000 3.398 0.000
0.000 0.000 11.393
Li Ho Ru
1 3 2
Cartesian
0.000 0.000 0.000
1.699 1.699 2.365
1.699 1.699 5.697
1.699 1.699 9.028
0.000 0.000 3.920
0.000 0.000 7.474
```


2.
Structure and calculated XRD peak list of LiHo6S5 (a structure optimized by DFT (PBE); λ = 1.5418 Å (Cu Kα)).

Most intense lines, 2θ from 10° to 90°, in order of rising 2θ:
two_theta, Rel. int.
26.2, 30
27.2, 30
28.0, 57
33.7, 100
38.1, 28
43.2, 16
48.0, 38
54.9, 21
55.5, 24
60.0, 19

Structural model:
```
LiHo6S5
1.0
6.562 0.000 0.000
-3.281 5.683 0.000
0.000 0.000 13.622
Li Ho S
2 12 10
Cartesian
0.000 0.000 3.405
0.000 0.000 10.216
-1.103 1.910 1.557
-1.103 1.910 5.253
-2.178 3.773 8.368
-2.178 3.773 12.064
2.206 0.000 1.557
2.206 0.000 5.253
1.103 1.910 8.368
1.103 1.910 12.064
4.357 0.000 8.368
4.357 0.000 12.064
2.178 3.773 1.557
2.178 3.773 5.253
-1.125 1.949 10.216
-2.156 3.734 3.405
0.000 3.789 0.000
0.000 3.789 6.811
2.251 0.000 10.216
1.125 1.949 3.405
4.312 0.000 3.405
2.156 3.734 10.216
3.281 1.894 0.000
3.281 1.894 6.811
```


3.
Structure and calculated XRD peak list of Li5HoS4 (a structure optimized by DFT (PBE); λ = 1.5418 Å (Cu Kα)).

Most intense lines, 2θ from 10° to 90°, in order of rising 2θ:
two_theta, Rel. int.
13.2, 53
14.1, 100
26.1, 42
26.5, 28
29.3, 14
34.9, 51
35.7, 17
37.5, 24
39.8, 15
48.5, 36

Structural model:
```
Li5HoS4
1.0
-1.949 3.540 6.725
1.949 -3.540 6.725
1.949 3.540 -6.725
Li Ho S
5 1 4
Cartesian
0.000 0.000 0.000
1.949 2.035 -2.396
1.949 2.035 2.396
0.000 1.504 4.329
0.000 1.504 9.122
0.000 3.540 0.000
1.949 1.670 0.000
1.949 0.000 3.926
0.000 3.540 2.799
0.000 1.870 6.725
```


4.
Structure and calculated XRD peak list of Li4SmHo3S8 (a structure optimized by DFT (PBE); λ = 1.5418 Å (Cu Kα)).

Most intense lines, 2θ from 10° to 90°, in order of rising 2θ:
two_theta, Rel. int.
14.3, 100
26.7, 71
28.0, 24
32.7, 95
35.9, 33
43.3, 19
46.3, 35
47.5, 32
48.7, 28
78.9, 21

Structural model:
```
Li4SmHo3S8
1.0
3.922 2.265 6.177
-3.922 2.265 6.177
0.000 -4.529 6.177
Li Sm Ho S
4 1 3 8
Cartesian
0.000 0.000 0.000
-1.961 -1.132 6.177
-1.961 1.132 12.353
0.000 2.265 6.177
0.000 0.000 9.265
-3.922 0.000 9.265
-1.961 1.132 3.088
1.961 1.132 3.088
-1.996 -1.152 10.819
0.000 -2.304 7.711
-1.996 1.152 7.711
0.000 0.000 4.626
0.000 0.000 13.905
1.996 -1.152 10.819
0.000 2.304 10.819
1.996 1.152 7.711
```


5.
Structure and calculated XRD peak list of LiHoU2S5 (a structure optimized by DFT (PBE); λ = 1.5418 Å (Cu Kα)).

Most intense lines, 2θ from 10° to 90°, in order of rising 2θ:
two_theta, Rel. int.
17.9, 31
25.5, 100
26.0, 99
31.8, 31
33.6, 57
36.3, 58
45.2, 48
46.3, 22
50.4, 37
53.5, 22

Structural model:
```
LiHoU2S5
1.0
4.944 0.000 0.000
0.000 4.944 0.000
0.000 0.000 9.487
Li Ho U S
1 1 2 5
Cartesian
0.000 0.000 0.000
0.000 0.000 4.744
2.472 2.472 2.709
2.472 2.472 6.778
0.000 0.000 2.164
0.000 0.000 7.324
0.000 2.472 4.744
2.472 0.000 4.744
2.472 2.472 0.000
```


6.
Structure and calculated XRD peak list of Li3HoSb2 (a structure optimized by DFT (PBE); λ = 1.5418 Å (Cu Kα)).

Most intense lines, 2θ from 10° to 90°, in order of rising 2θ:
two_theta, Rel. int.
12.4, 32
25.9, 100
33.9, 63
39.7, 43
44.5, 25
48.0, 19
53.2, 18
64.0, 16
66.7, 17
68.4, 16

Structural model:
```
Li3HoSb2
1.0
4.541 0.000 0.000
-2.270 3.933 0.000
0.000 0.000 7.139
Li Ho Sb
3 1 2
Cartesian
0.000 0.000 0.000
0.000 2.622 1.070
2.270 1.311 6.070
0.000 0.000 3.570
0.000 2.622 5.334
2.270 1.311 1.805
```


7.
Structure and calculated XRD peak list of LiHoSb3 (a structure optimized by DFT (PBE); λ = 1.5418 Å (Cu Kα)).

Most intense lines, 2θ from 10° to 90°, in order of rising 2θ:
two_theta, Rel. int.
28.5, 35
31.5, 57
32.6, 100
33.4, 44
33.8, 36
35.0, 53
36.0, 40
41.6, 30
42.2, 54
50.1, 34

Structural model:
```
LiHoSb3
1.0
13.411 0.000 0.000
0.000 6.016 0.000
0.000 0.000 6.269
Li Ho Sb
4 4 12
Cartesian
1.446 1.504 0.000
1.446 1.504 3.134
11.965 4.512 0.000
11.965 4.512 3.134
4.269 3.078 1.567
4.269 5.946 4.702
9.142 0.070 1.567
9.142 2.938 4.702
1.113 4.254 1.567
1.113 4.770 4.702
3.428 0.015 1.567
3.428 2.992 4.702
6.647 1.504 0.000
6.647 1.504 3.134
6.764 4.512 0.000
6.764 4.512 3.134
9.984 3.023 1.567
9.984 6.000 4.702
12.298 1.246 1.567
12.298 1.762 4.702
```


8.
Structure and calculated XRD peak list of LiHo4Se6 (a structure optimized by DFT (PBE); λ = 1.5418 Å (Cu Kα)).

Most intense lines, 2θ from 10° to 90°, in order of rising 2θ:
two_theta, Rel. int.
22.4, 45
25.3, 39
27.2, 38
27.4, 40
32.3, 40
33.5, 100
36.0, 41
37.5, 86
42.3, 37
68.2, 34

Structural model:
```
LiHo4Se6
1.0
5.677 3.277 4.484
-5.677 3.277 4.484
0.000 -6.555 4.484
Li Ho Se
2 8 12
Cartesian
0.000 0.000 0.000
0.000 0.000 6.725
-3.465 0.553 5.604
0.000 0.000 3.363
-2.211 -2.725 7.846
1.254 -3.277 5.604
-1.254 3.277 7.846
2.211 2.725 5.604
0.000 0.000 10.088
3.465 -0.553 7.846
-4.855 -1.287 7.434
-1.314 -4.848 6.017
-1.314 -1.707 5.192
-3.542 3.562 6.017
-0.821 1.991 5.192
-2.135 0.284 8.259
2.135 -0.284 5.192
0.821 -1.991 8.259
3.542 -3.562 7.434
1.314 1.707 8.259
1.314 4.848 7.434
4.855 1.287 6.017
```


9.
Structure and calculated XRD peak list of LiTbHoSe3 (a structure optimized by DFT (PBE); λ = 1.5418 Å (Cu Kα)).

Most intense lines, 2θ from 10° to 90°, in order of rising 2θ:
two_theta, Rel. int.
10.4, 36
20.9, 22
24.9, 19
31.6, 100
31.7, 76
40.9, 35
41.4, 28
43.4, 33
46.0, 23
65.1, 20

Structural model:
```
LiTbHoSe3
1.0
8.336 0.000 0.000
0.000 3.948 0.000
-1.940 0.000 8.520
Li Tb Ho Se
2 2 2 6
Cartesian
0.558 0.987 0.715
5.838 2.961 7.805
0.154 0.987 6.166
6.242 2.961 2.354
2.147 2.961 2.855
4.249 0.987 5.665
0.043 0.987 3.165
-0.055 2.961 8.470
2.231 2.961 5.735
4.164 0.987 2.785
6.451 0.987 0.050
6.353 2.961 5.354
```


10.
Structure and calculated XRD peak list of Li2HoTeSe4 (a structure optimized by DFT (PBE); λ = 1.5418 Å (Cu Kα)).

Most intense lines, 2θ from 10° to 90°, in order of rising 2θ:
two_theta, Rel. int.
13.0, 100
13.5, 38
24.2, 32
29.4, 97
31.7, 87
31.8, 86
42.3, 34
43.9, 64
45.5, 71
53.9, 33

Structural model:
```
Li2HoTeSe4
1.0
5.664 -5.622 0.000
5.664 5.622 0.000
-5.294 0.000 6.079
Li Ho Te Se
4 2 2 8
Cartesian
0.000 0.000 0.000
-2.647 0.000 3.040
2.832 2.811 0.000
0.185 -2.811 3.040
5.664 0.000 0.000
3.017 0.000 3.040
0.185 2.811 3.040
2.832 -2.811 0.000
2.933 2.850 2.780
0.164 0.006 3.188
2.811 -0.006 0.149
5.748 2.850 0.259
0.286 -2.850 5.820
3.223 0.006 5.931
5.870 -0.006 2.891
3.101 -2.850 3.299
```


11.
Structure and calculated XRD peak list of Li3HoU3Se8 (a structure optimized by DFT (PBE); λ = 1.5418 Å (Cu Kα)).

Most intense lines, 2θ from 10° to 90°, in order of rising 2θ:
two_theta, Rel. int.
13.5, 69
25.7, 50
31.3, 100
34.2, 25
44.6, 38
45.1, 37
46.8, 20
55.5, 20
73.8, 17
74.5, 17

Structural model:
```
Li3HoU3Se8
1.0
4.066 2.347 6.536
-4.066 2.347 6.536
0.000 -4.695 6.536
Li Ho U Se
3 1 3 8
Cartesian
-2.033 -1.174 6.536
-2.033 1.174 13.072
0.000 2.347 6.536
0.000 0.000 9.804
-4.066 0.000 9.804
-2.033 1.174 3.268
2.033 1.174 3.268
0.000 -2.336 8.163
-2.023 1.168 8.163
-2.023 -1.168 11.445
0.000 0.000 4.962
0.000 0.000 14.646
2.023 1.168 8.163
2.023 -1.168 11.445
0.000 2.336 11.445
```


12.
Structure and calculated XRD peak list of LiHoUSe4 (a structure optimized by DFT (PBE); λ = 1.5418 Å (Cu Kα)).

Most intense lines, 2θ from 10° to 90°, in order of rising 2θ:
two_theta, Rel. int.
13.0, 46
13.2, 85
25.1, 33
25.3, 41
30.5, 100
30.7, 49
40.2, 27
43.3, 20
43.8, 76
54.0, 20

Structural model:
```
LiHoUSe4
1.0
-4.104 4.177 5.827
4.104 -4.177 5.827
4.104 4.177 -5.827
Li Ho U Se
2 2 2 8
Cartesian
0.000 2.088 1.530
4.104 2.088 4.297
2.052 2.088 -2.913
2.052 -2.088 2.913
4.104 0.000 0.000
0.000 0.000 5.827
4.104 -0.100 2.824
4.104 4.077 -2.824
2.159 2.088 -0.050
6.048 2.088 -0.050
-1.945 2.088 5.876
1.945 2.088 5.876
0.000 0.100 8.651
0.000 4.277 3.003
```


Copy entry 9 word for word.
Structure and calculated XRD peak list of LiTbHoSe3 (a structure optimized by DFT (PBE); λ = 1.5418 Å (Cu Kα)).

Most intense lines, 2θ from 10° to 90°, in order of rising 2θ:
two_theta, Rel. int.
10.4, 36
20.9, 22
24.9, 19
31.6, 100
31.7, 76
40.9, 35
41.4, 28
43.4, 33
46.0, 23
65.1, 20

Structural model:
```
LiTbHoSe3
1.0
8.336 0.000 0.000
0.000 3.948 0.000
-1.940 0.000 8.520
Li Tb Ho Se
2 2 2 6
Cartesian
0.558 0.987 0.715
5.838 2.961 7.805
0.154 0.987 6.166
6.242 2.961 2.354
2.147 2.961 2.855
4.249 0.987 5.665
0.043 0.987 3.165
-0.055 2.961 8.470
2.231 2.961 5.735
4.164 0.987 2.785
6.451 0.987 0.050
6.353 2.961 5.354
```


What is the formula in the ninth record?
LiTbHoSe3


Copy entry 6 word for word.
Structure and calculated XRD peak list of Li3HoSb2 (a structure optimized by DFT (PBE); λ = 1.5418 Å (Cu Kα)).

Most intense lines, 2θ from 10° to 90°, in order of rising 2θ:
two_theta, Rel. int.
12.4, 32
25.9, 100
33.9, 63
39.7, 43
44.5, 25
48.0, 19
53.2, 18
64.0, 16
66.7, 17
68.4, 16

Structural model:
```
Li3HoSb2
1.0
4.541 0.000 0.000
-2.270 3.933 0.000
0.000 0.000 7.139
Li Ho Sb
3 1 2
Cartesian
0.000 0.000 0.000
0.000 2.622 1.070
2.270 1.311 6.070
0.000 0.000 3.570
0.000 2.622 5.334
2.270 1.311 1.805
```